Diffraction record for Cu2SiSe3. The powder diffraction line list is simulated, not measured: it uses a structure optimized by DFT (PBE) and a wavelength of 1.5418 Å.
Intensities are scaled so that the largest is 100.

Cell and atoms:
a b c (Å): 6.8055 6.8055 6.7552
angles (deg): 99.07 99.07 120.67
Atoms (fractional coordinates):
Cu1 0.0866 0.9134 0.5000
Cu2 0.2438 0.7338 0.9975
Cu3 0.7338 0.2438 0.4975
Cu4 0.9134 0.0866 0.0000
Si1 0.3874 0.5568 0.4763
Si2 0.5568 0.3874 0.9763
Se1 0.0292 0.1992 0.3771
Se2 0.1992 0.0292 0.8771
Se3 0.3681 0.8525 0.3730
Se4 0.5325 0.6904 0.8562
Se5 0.6904 0.5325 0.3562
Se6 0.8525 0.3681 0.8730

The 6 most intense peaks (2θ = 5–70°), sorted by position:
Position (°2θ)	I_rel
27.90	100
46.07	23
46.45	22
46.55	22
54.70	21
55.45	10

---

Diffraction record for Te2Mo3WSe6. The powder diffraction line list is simulated, not measured: it uses a structure optimized by DFT (PBE) and a wavelength of 1.5418 Å.
Intensities are scaled so that the largest is 100.

Cell and atoms:
a b c (Å): 3.3797 3.3797 38.5077
angles (deg): 90.00 90.00 120.00
Atoms (fractional coordinates):
Te1 0.0000 0.0000 0.0000
Te2 0.0000 0.0000 0.0977
Mo1 0.0000 0.0000 0.8610
Mo2 0.3333 0.6667 0.0489
Mo3 0.3333 0.6667 0.4246
W1 0.0000 0.0000 0.2367
Se1 0.0000 0.0000 0.3816
Se2 0.0000 0.0000 0.4676
Se3 0.3333 0.6667 0.1936
Se4 0.3333 0.6667 0.2799
Se5 0.3333 0.6667 0.8180
Se6 0.3333 0.6667 0.9040

The 6 most intense peaks (2θ = 5–70°), sorted by position:
Position (°2θ)	I_rel
11.49	100
30.57	53
35.91	88
43.47	58
45.24	20
54.30	37